Fe4Si2Sn7O16: computed powder diffractogram (Cu Kα, 1.54184 Å), based on a structure optimized by DFT (GGA+U).

Atomic structure:
a = 6.912 Å, b = 6.912 Å, c = 9.379 Å
α = 90.00°, β = 90.00°, γ = 120.00°
Fractional positions:
Fe1 0.000 0.000 0.000
Fe2 0.000 0.500 0.500
Fe3 0.500 0.000 0.500
Fe4 0.500 0.500 0.500
Si1 0.333 0.667 0.756
Si2 0.667 0.333 0.244
Sn1 0.000 0.000 0.500
Sn2 0.165 0.331 0.166
Sn3 0.165 0.835 0.166
Sn4 0.331 0.165 0.834
Sn5 0.669 0.835 0.166
Sn6 0.835 0.165 0.834
Sn7 0.835 0.669 0.834
O1 0.073 0.537 0.809
O2 0.155 0.310 0.388
O3 0.155 0.845 0.388
O4 0.310 0.155 0.612
O5 0.333 0.667 0.126
O6 0.333 0.667 0.578
O7 0.463 0.537 0.809
O8 0.463 0.927 0.809
O9 0.537 0.073 0.191
O10 0.537 0.463 0.191
O11 0.667 0.333 0.422
O12 0.667 0.333 0.874
O13 0.690 0.845 0.388
O14 0.845 0.155 0.612
O15 0.845 0.690 0.612
O16 0.927 0.463 0.191

The 10 most intense peaks (10 to 90 degrees two-theta), sorted by position:
2θ 14.80, rel. 15, hkl 1 0 0; 2θ 24.11, rel. 17, hkl 0 1 2; 2θ 28.55, rel. 43, hkl 0 0 3; 2θ 31.37, rel. 100, hkl 2 0 1; 2θ 35.58, rel. 55, hkl 0 2 2; 2θ 49.37, rel. 36, hkl 2 0 4; 2θ 52.99, rel. 37, hkl 2 2 0; 2θ 58.03, rel. 13, hkl 0 2 5; 2θ 61.29, rel. 29, hkl 2 2 3; 2θ 62.89, rel. 14, hkl 0 4 1